(1)
Structure and simulated XRD peak list of Y2Cu5Ni12 (a structure optimized by DFT (PBE); λ = 1.5418 Å (Cu Kα)).

Cell and atoms:
```
38
Lattice="8.3512 0.0000 0.0000 -4.1756 7.2324 0.0000 0.0000 0.0000 8.1049" Properties=species:S:1:pos:R:3 pbc="T T T"
Y 0.0000 0.0000 2.0262
Y 0.0000 0.0000 6.0787
Y 0.0000 4.8216 2.0262
Y 4.1756 2.4108 6.0787
Cu -2.0878 3.6162 0.0000
Cu -2.0878 3.6162 4.0525
Cu 0.0000 4.8216 4.9004
Cu 0.0000 4.8216 7.2570
Cu 4.1756 0.0000 0.0000
Cu 4.1756 0.0000 4.0525
Cu 2.0878 3.6162 0.0000
Cu 2.0878 3.6162 4.0525
Cu 4.1756 2.4108 0.8479
Cu 4.1756 2.4108 3.2045
Ni -1.1910 2.6466 6.0787
Ni -2.4791 4.8776 6.0787
Ni 0.0000 2.3768 0.1645
Ni 0.0000 2.3768 3.8880
Ni -2.1172 6.0440 0.1645
Ni -2.1172 6.0440 3.8880
Ni 1.1910 2.6466 6.0787
Ni -1.2880 6.9405 6.0787
Ni 2.0584 1.1884 4.2169
Ni 2.0584 1.1884 7.9404
Ni 2.8876 0.2918 2.0262
Ni 1.6965 2.3548 2.0262
Ni 2.4791 4.8776 6.0787
Ni 1.2880 6.9405 6.0787
Ni 2.1172 6.0440 0.1645
Ni 2.1172 6.0440 3.8880
Ni 5.4636 0.2918 2.0262
Ni 2.9846 4.5857 2.0262
Ni 6.2929 1.1884 4.2169
Ni 6.2929 1.1884 7.9404
Ni 4.1756 4.8556 4.2169
Ni 4.1756 4.8556 7.9404
Ni 6.6547 2.3548 2.0262
Ni 5.3667 4.5857 2.0262
```

Principal peaks in the range 2θ = 10–90°, low angle first:
| two_theta | Rel. int. |
| --- | --- |
| 30.75 | 14.8 |
| 37.30 | 35.6 |
| 41.73 | 41.1 |
| 43.34 | 64.4 |
| 43.69 | 100.0 |
| 44.73 | 34.4 |
| 49.09 | 56.1 |
| 71.70 | 14.6 |
| 79.52 | 20.0 |
| 81.72 | 18.9 |

---

(2)
Structure and simulated XRD peak list of Y6CuNi2 (a structure optimized by DFT (PBE); λ = 1.5418 Å (Cu Kα)).

Cell and atoms:
```
18
Lattice="-4.7012 4.7640 4.9014 4.7012 -4.7640 4.9014 4.7012 4.7640 -4.9014" Properties=species:S:1:pos:R:3 pbc="T T T"
Y 4.7012 2.9803 -2.5078
Y 2.5721 1.6867 0.0000
Y 6.8304 1.6867 0.0000
Y 1.7979 4.7640 -1.6987
Y 2.9034 0.0000 3.2027
Y 0.0000 1.7837 2.3936
Y 4.7012 2.9803 2.5078
Y 1.7979 4.7640 1.6987
Y 2.9034 0.0000 6.6002
Y -2.1291 3.0773 4.9014
Y 2.1291 3.0773 4.9014
Y 0.0000 1.7837 7.4093
Cu 0.0000 0.0000 0.0000
Cu 0.0000 0.0000 4.9014
Ni 4.7012 0.0000 1.1558
Ni 0.0000 3.2601 0.0000
Ni 0.0000 6.2678 0.0000
Ni 0.0000 4.7640 3.7456
```

Principal peaks in the range 2θ = 10–90°, low angle first:
| two_theta | Rel. int. |
| --- | --- |
| 30.01 | 26.7 |
| 32.40 | 100.0 |
| 34.73 | 55.1 |
| 34.99 | 81.2 |
| 35.31 | 76.6 |
| 35.49 | 24.6 |
| 38.29 | 36.8 |
| 39.85 | 22.8 |
| 41.43 | 20.0 |
| 60.23 | 32.7 |